1.
For Na2CoH8C2O10, DFT lattice parameters and positions (GGA+U) gives the theoretical XRD peak list in this record (Cu Kα, 1.54184 Å).
Intensities are scaled so that the largest is 100.

Peak list (12 most intense, 2θ = 10–90°, in order of rising 2θ)
hkl, Position (°2θ), I_rel
0 0 2, 12.62, 81
1 1 0, 16.48, 71
1 1 -1, 17.12, 35
1 1 -2, 19.87, 100
1 1 2, 21.71, 73
1 1 -4, 29.11, 52
2 2 1, 34.53, 64
2 2 -2, 34.63, 53
2 2 2, 36.86, 69
3 1 2, 38.35, 29
1 3 0, 40.20, 33
2 0 -6, 41.41, 59

Structure:
```
data_Na2CoH8C2O10
_symmetry_space_group_name_H-M 'C 1 2/c 1'
_symmetry_Int_Tables_number 15
_cell_length_a 8.528
_cell_length_b 6.978
_cell_length_c 14.170
_cell_angle_alpha 90.00
_cell_angle_beta 98.16
_cell_angle_gamma 90.00
loop_
_symmetry_equiv_pos_as_xyz
'x,y,z'
'-x,-y,-z'
'-x,y,-z+1/2'
'x,-y,z+1/2'
'x+1/2,y+1/2,z'
'-x+1/2,-y+1/2,-z'
'-x+1/2,y+1/2,-z+1/2'
'x+1/2,-y+1/2,z+1/2'
loop_
_atom_site_label
_atom_site_type_symbol
_atom_site_fract_x
_atom_site_fract_y
_atom_site_fract_z
_atom_site_occupancy
Na1 Na 0.081 0.175 0.441 1
Co1 Co 0.000 0.458 0.250 1
H1 H 0.049 0.197 0.874 1
H2 H 0.133 0.164 0.634 1
H3 H 0.157 0.447 0.047 1
H4 H 0.186 0.440 0.938 1
C1 C 0.222 0.240 0.211 1
O1 O 0.031 0.121 0.598 1
O2 O 0.123 0.339 0.150 1
O3 O 0.161 0.349 0.819 1
O4 O 0.187 0.475 0.494 1
O5 O 0.198 0.241 0.298 1
```



2.
For Co3H2C8O10, DFT lattice parameters and positions (GGA+U) gives the theoretical XRD peak list in this record (Cu Kα, 1.54184 Å).
Intensities are scaled so that the largest is 100.

Peak list (12 most intense, 2θ = 10–90°, in order of rising 2θ)
hkl, Position (°2θ), I_rel
1 1 0, 12.15, 100
2 0 0, 20.16, 4
2 2 0, 24.44, 8
2 0 1, 26.36, 4
1 3 -1, 28.34, 4
2 2 1, 29.81, 4
1 1 2, 35.85, 4
2 4 -1, 38.26, 10
2 0 2, 39.61, 5
1 5 -1, 39.94, 4
3 1 2, 46.73, 3
3 5 -1, 49.80, 3

Structure:
```
data_Co3H2C8O10
_symmetry_space_group_name_H-M 'C 1 2/m 1'
_symmetry_Int_Tables_number 12
_cell_length_a 8.810
_cell_length_b 12.952
_cell_length_c 5.356
_cell_angle_alpha 90.00
_cell_angle_beta 90.72
_cell_angle_gamma 90.00
loop_
_symmetry_equiv_pos_as_xyz
'x,y,z'
'-x,-y,-z'
'-x,y,-z'
'x,-y,z'
'x+1/2,y+1/2,z'
'-x+1/2,-y+1/2,-z'
'-x+1/2,y+1/2,-z'
'x+1/2,-y+1/2,z'
loop_
_atom_site_label
_atom_site_type_symbol
_atom_site_fract_x
_atom_site_fract_y
_atom_site_fract_z
_atom_site_occupancy
Co1 Co 0.000 0.000 0.000 1
Co2 Co 0.000 0.111 0.500 1
H1 H 0.028 0.500 0.947 1
C1 C 0.191 0.238 0.164 1
C2 C 0.202 0.184 0.926 1
O1 O 0.092 0.000 0.304 1
O2 O 0.118 0.228 0.362 1
O3 O 0.144 0.104 0.831 1
```



3.
For CoH4C2O6, DFT lattice parameters and positions (GGA+U) gives the theoretical XRD peak list in this record (Cu Kα, 1.54184 Å).
Intensities are scaled so that the largest is 100.

Peak list (12 most intense, 2θ = 10–90°, in order of rising 2θ)
hkl, Position (°2θ), I_rel
1 1 0, 19.01, 37
2 0 0, 19.59, 100
2 0 -2, 20.06, 93
0 0 2, 23.48, 35
1 1 -2, 25.49, 49
4 0 -2, 32.25, 94
1 1 2, 34.64, 52
0 2 1, 35.01, 37
0 2 2, 40.80, 34
0 2 3, 49.19, 22
6 0 -4, 51.12, 21
5 1 0, 53.28, 22

Structure:
```
data_CoH4C2O6
_symmetry_space_group_name_H-M 'C 1 2/c 1'
_symmetry_Int_Tables_number 15
_cell_length_a 11.106
_cell_length_b 5.447
_cell_length_c 9.285
_cell_angle_alpha 90.00
_cell_angle_beta 125.29
_cell_angle_gamma 90.00
loop_
_symmetry_equiv_pos_as_xyz
'x,y,z'
'-x,-y,-z'
'-x,y,-z+1/2'
'x,-y,z+1/2'
'x+1/2,y+1/2,z'
'-x+1/2,-y+1/2,-z'
'-x+1/2,y+1/2,-z+1/2'
'x+1/2,-y+1/2,z+1/2'
loop_
_atom_site_label
_atom_site_type_symbol
_atom_site_fract_x
_atom_site_fract_y
_atom_site_fract_z
_atom_site_occupancy
Co1 Co 0.000 0.069 0.250 1
H1 H 0.164 0.149 0.139 1
H2 H 0.230 0.384 0.647 1
C1 C 0.052 0.429 0.852 1
O1 O 0.089 0.364 0.429 1
O2 O 0.092 0.223 0.928 1
O3 O 0.179 0.057 0.241 1
```



4.
For CoH6C4O6, DFT lattice parameters and positions (GGA+U) gives the theoretical XRD peak list in this record (Cu Kα, 1.54184 Å).
Intensities are scaled so that the largest is 100.

Peak list (12 most intense, 2θ = 10–90°, in order of rising 2θ)
hkl, Position (°2θ), I_rel
0 1 1, 15.87, 100
1 0 0, 18.80, 39
1 1 -1, 21.91, 31
1 1 -2, 26.30, 21
1 1 1, 27.22, 12
0 2 2, 32.06, 10
1 2 -2, 33.63, 15
1 2 -3, 39.86, 8
1 2 2, 40.93, 11
1 3 1, 44.02, 7
2 2 -2, 44.71, 9
2 2 0, 45.46, 9

Structure:
```
data_CoH6C4O6
_symmetry_space_group_name_H-M 'P 1 21/c 1'
_symmetry_Int_Tables_number 14
_cell_length_a 4.983
_cell_length_b 7.474
_cell_length_c 8.869
_cell_angle_alpha 90.00
_cell_angle_beta 108.71
_cell_angle_gamma 90.00
loop_
_symmetry_equiv_pos_as_xyz
'x,y,z'
'-x,-y,-z'
'-x,y+1/2,-z+1/2'
'x,-y+1/2,z+1/2'
loop_
_atom_site_label
_atom_site_type_symbol
_atom_site_fract_x
_atom_site_fract_y
_atom_site_fract_z
_atom_site_occupancy
Co1 Co 0.000 0.000 0.000 1
H1 H 0.260 0.052 0.391 1
H2 H 0.352 0.245 0.301 1
H3 H 0.492 0.183 0.064 1
C1 C 0.086 0.725 0.227 1
C2 C 0.220 0.196 0.371 1
O1 O 0.193 0.632 0.353 1
O2 O 0.230 0.658 0.684 1
O3 O 0.281 0.210 0.018 1
```